[1]
Starting from a crystal structure in the Materials Project, relaxed with GGA+U, the PXRD pattern of K2UW2O10 was computed for Cu Kα (λ = 1.5418 Å).
Peak positions follow from Bragg's law for the DFT cell and can differ from measured ones.

Structural model:
```
data_K2UW2O10
_chemical_formula_sum 'K8 U4 W8 O40'
_symmetry_space_group_name_H-M 'P n m a'
_symmetry_Int_Tables_number 62
_symmetry_space_group_name_Hall '-P 2ac 2n'
_cell_length_a 14.339
_cell_length_b 7.702
_cell_length_c 8.785
_cell_angle_alpha 90.00
_cell_angle_beta 90.00
_cell_angle_gamma 90.00
loop_
_atom_site_label
_atom_site_fract_x
_atom_site_fract_y
_atom_site_fract_z
K1 0.198 0.250 0.155
K2 0.216 0.750 0.174
U1 0.004 0.750 0.525
W1 0.069 0.501 0.854
O1 0.016 0.028 0.647
O2 0.035 0.750 0.810
O3 0.076 0.532 0.068
O4 0.078 0.250 0.867
O5 0.122 0.250 0.443
O6 0.130 0.750 0.488
O7 0.190 0.528 0.809
```

Largest 8 diffraction maxima, most intense first, 2θ from 15° to 90°:
d 3.425, 26.02°, I 100, hkl 1 2 1
d 2.869, 31.17°, I 51, hkl 1 0 3
d 5.555, 15.96°, I 38, hkl 2 0 1
d 2.838, 31.52°, I 36, hkl 3 2 1
d 3.234, 27.58°, I 32, hkl 3 0 2
d 3.165, 28.20°, I 30, hkl 2 2 1
d 3.319, 26.86°, I 29, hkl 4 0 1
d 2.685, 33.37°, I 22, hkl 2 2 2

---

[2]
Starting from a crystal structure in the Materials Project, relaxed with GGA+U, the PXRD pattern of K3V5O14 was computed for Cu Kα (λ = 1.5418 Å).
Peak positions follow from Bragg's law for the DFT cell and can differ from measured ones.

Structural model:
```
data_K3V5O14
_chemical_formula_sum 'K3 V5 O14'
_symmetry_space_group_name_H-M 'P 3 1 m'
_symmetry_Int_Tables_number 157
_symmetry_space_group_name_Hall 'P 3 -2'
_cell_length_a 8.7988
_cell_length_b 8.7988
_cell_length_c 5.3050
_cell_angle_alpha 90.00
_cell_angle_beta 90.00
_cell_angle_gamma 120.00
loop_
_atom_site_label
_atom_site_fract_x
_atom_site_fract_y
_atom_site_fract_z
K1 0.0000 0.6074 0.0000
V1 0.0000 0.2267 0.4667
V2 0.3333 0.6667 0.4678
O1 0.0000 0.2388 0.7744
O2 0.0000 0.8310 0.3890
O3 0.1684 0.4615 0.3514
O4 0.3333 0.6667 0.7817
```

Largest 8 diffraction maxima, most intense first, 2θ from 15° to 90°:
d 3.386, 26.32°, I 100, hkl 1 1 1
d 5.305, 16.71°, I 58, hkl 0 0 1
d 2.880, 31.05°, I 51, hkl 2 1 0
d 3.095, 28.85°, I 42, hkl 2 0 1
d 1.662, 55.29°, I 27, hkl 4 1 0
d 2.652, 33.79°, I 25, hkl 0 0 2
d 2.531, 35.47°, I 22, hkl 2 1 1
d 1.951, 46.55°, I 20, hkl 2 1 2

---

[3]
Starting from a crystal structure in the Materials Project, relaxed with GGA+U, the PXRD pattern of KV4O10 was computed for Cu Kα (λ = 1.5418 Å).
Peak positions follow from Bragg's law for the DFT cell and can differ from measured ones.

Structural model:
```
data_KV4O10
_chemical_formula_sum 'K4 V16 O40'
_symmetry_space_group_name_H-M 'C m c m'
_symmetry_Int_Tables_number 63
_symmetry_space_group_name_Hall '-C 2c 2'
_cell_length_a 3.708
_cell_length_b 11.613
_cell_length_c 20.580
_cell_angle_alpha 90.00
_cell_angle_beta 90.00
_cell_angle_gamma 90.00
loop_
_atom_site_label
_atom_site_fract_x
_atom_site_fract_y
_atom_site_fract_z
K1 0.000 0.104 0.250
V1 0.000 0.272 0.081
V2 0.000 0.433 0.579
O1 0.000 0.101 0.063
O2 0.000 0.260 0.561
O3 0.000 0.287 0.160
O4 0.000 0.419 0.049
O5 0.000 0.449 0.658
```

Largest 8 diffraction maxima, most intense first, 2θ from 15° to 90°:
d 3.430, 25.98°, I 100, hkl 0 0 6
d 5.589, 15.86°, I 66, hkl 0 2 1
d 2.495, 36.00°, I 66, hkl 1 3 3
d 3.533, 25.21°, I 57, hkl 1 1 0
d 3.341, 26.68°, I 45, hkl 1 1 2
d 1.854, 49.14°, I 45, hkl 2 0 0
d 2.875, 31.11°, I 44, hkl 0 4 1
d 2.911, 30.71°, I 43, hkl 1 1 4

---

[4]
Starting from a crystal structure in the Materials Project, relaxed with GGA+U, the PXRD pattern of K4V2O7 was computed for Cu Kα (λ = 1.5418 Å).
Peak positions follow from Bragg's law for the DFT cell and can differ from measured ones.

Structural model:
```
data_K4V2O7
_chemical_formula_sum 'K8 V4 O14'
_symmetry_space_group_name_H-M 'C 1 2/m 1'
_symmetry_Int_Tables_number 12
_symmetry_space_group_name_Hall '-C 2y'
_cell_length_a 10.506
_cell_length_b 6.344
_cell_length_c 7.377
_cell_angle_alpha 90.00
_cell_angle_beta 101.40
_cell_angle_gamma 90.00
loop_
_atom_site_label
_atom_site_fract_x
_atom_site_fract_y
_atom_site_fract_z
K1 0.000 0.000 0.000
K2 0.000 0.000 0.500
K3 0.179 0.500 0.202
V1 0.136 0.500 0.701
O1 0.000 0.500 0.500
O2 0.117 0.278 0.827
O3 0.215 0.000 0.359
```

Largest 8 diffraction maxima, most intense first, 2θ from 15° to 90°:
d 2.870, 31.16°, I 100, hkl 1 1 2
d 3.019, 29.59°, I 77, hkl 3 1 0
d 3.172, 28.13°, I 61, hkl 0 2 0
d 2.280, 39.53°, I 60, hkl 2 2 -2
d 3.280, 27.19°, I 33, hkl 2 0 -2
d 4.651, 19.08°, I 21, hkl 2 0 -1
d 1.767, 51.73°, I 21, hkl 1 3 2
d 1.435, 65.00°, I 15, hkl 2 2 4

---

[5]
Starting from a crystal structure in the Materials Project, relaxed with GGA+U, the PXRD pattern of KV3O8 was computed for Cu Kα (λ = 1.5418 Å).
Peak positions follow from Bragg's law for the DFT cell and can differ from measured ones.

Structural model:
```
data_KV3O8
_chemical_formula_sum 'K2 V6 O16'
_symmetry_space_group_name_H-M 'P 1 21/m 1'
_symmetry_Int_Tables_number 11
_symmetry_space_group_name_Hall '-P 2yb'
_cell_length_a 5.121
_cell_length_b 8.603
_cell_length_c 7.890
_cell_angle_alpha 90.00
_cell_angle_beta 98.74
_cell_angle_gamma 90.00
loop_
_atom_site_label
_atom_site_fract_x
_atom_site_fract_y
_atom_site_fract_z
K1 0.033 0.250 0.441
V1 0.074 0.250 0.926
V2 0.447 0.555 0.184
O1 0.097 0.750 0.916
O2 0.123 0.601 0.226
O3 0.322 0.088 0.994
O4 0.407 0.250 0.742
O5 0.421 0.563 0.665
```

Largest 8 diffraction maxima, most intense first, 2θ from 15° to 90°:
d 3.278, 27.21°, I 100, hkl 1 2 0
d 5.778, 15.33°, I 43, hkl 0 1 1
d 2.888, 30.97°, I 39, hkl 0 2 2
d 3.552, 25.07°, I 35, hkl 0 1 2
d 2.034, 44.55°, I 29, hkl 1 3 2
d 3.344, 26.65°, I 28, hkl 1 0 -2
d 2.531, 35.47°, I 18, hkl 2 0 0
d 1.612, 57.13°, I 16, hkl 0 3 4